Entry 1:
Simulated PXRD pattern of RbHfHg3S4 for Cu Ka, from a structure optimized by DFT (GGA-PBE).
No peak broadening, texture or thermal motion is included.

Principal peaks in the range 2θ from 10° to 80°, by angle:
- (1 0 -1), 13.46°, d 6.578, rel. 28
- (0 1 1), 14.52°, d 6.099, rel. 100
- (1 0 -2), 18.87°, d 4.703, rel. 38
- (2 0 -2), 27.10°, d 3.291, rel. 35
- (2 1 -1), 27.57°, d 3.235, rel. 57
- (0 2 2), 29.27°, d 3.051, rel. 63
- (0 1 3), 29.44°, d 3.033, rel. 30
- (2 2 0), 35.03°, d 2.561, rel. 46
- (1 2 -3), 35.27°, d 2.545, rel. 40
- (2 0 2), 35.99°, d 2.495, rel. 43
- (2 2 1), 38.17°, d 2.358, rel. 46
- (2 0 3), 43.32°, d 2.089, rel. 38

Structure:
```
data_RbHfHg3S4
_cell_length_a 7.132
_cell_length_b 7.748
_cell_length_c 10.332
_cell_angle_alpha 90.00
_cell_angle_beta 106.81
_cell_angle_gamma 90.00
_symmetry_space_group_name_H-M 'P 1 21/m 1'
_symmetry_Int_Tables_number 11
loop_
_symmetry_equiv_pos_as_xyz
'x,y,z'
'-x,-y,-z'
'-x,y+1/2,-z'
'x,-y+1/2,z'
loop_
_atom_site_label
_atom_site_fract_x
_atom_site_fract_y
_atom_site_fract_z
_atom_site_occupancy
Rb1 0.240 0.250 0.387 1
Hf1 0.026 0.250 0.752 1
Hg1 0.294 0.541 0.957 1
Hg2 0.457 0.750 0.189 1
S1 0.087 0.250 0.996 1
S2 0.189 0.007 0.693 1
S3 0.313 0.750 0.382 1
```

Entry 2:
Simulated PXRD pattern of Cd2P2O7 for Cu Ka, from a structure optimized by DFT (GGA-PBE).
No peak broadening, texture or thermal motion is included.

Principal peaks in the range 2θ from 10° to 80°, by angle:
- (2 0 0), 18.72°, d 4.739, rel. 41
- (1 1 0), 20.00°, d 4.439, rel. 100
- (1 1 -1), 23.12°, d 3.846, rel. 49
- (1 1 1), 26.46°, d 3.368, rel. 40
- (0 0 2), 29.43°, d 3.035, rel. 48
- (2 0 -2), 29.90°, d 2.988, rel. 23
- (3 1 -1), 33.05°, d 2.711, rel. 27
- (3 1 0), 33.50°, d 2.675, rel. 53
- (1 1 2), 38.16°, d 2.358, rel. 40
- (3 1 -2), 38.91°, d 2.314, rel. 25
- (0 2 2), 46.95°, d 1.935, rel. 23
- (2 2 -2), 47.26°, d 1.923, rel. 24

Structure:
```
data_Cd2P2O7
_cell_length_a 9.922
_cell_length_b 5.025
_cell_length_c 6.354
_cell_angle_alpha 90.00
_cell_angle_beta 107.19
_cell_angle_gamma 90.00
_symmetry_space_group_name_H-M 'C 1 2 1'
_symmetry_Int_Tables_number 5
loop_
_symmetry_equiv_pos_as_xyz
'x,y,z'
'-x,y,-z'
'x+1/2,y+1/2,z'
'-x+1/2,y+1/2,-z'
loop_
_atom_site_label
_atom_site_fract_x
_atom_site_fract_y
_atom_site_fract_z
_atom_site_occupancy
Cd1 0.187 0.000 0.221 1
P1 0.107 0.006 0.705 1
O1 0.000 0.171 0.500 1
O2 0.018 0.814 0.792 1
O3 0.170 0.223 0.876 1
O4 0.217 0.874 0.611 1
```

Entry 3:
Simulated PXRD pattern of TmNb2Al3Ga for Cu Ka, from a structure optimized by DFT (GGA-PBE).
No peak broadening, texture or thermal motion is included.

Principal peaks in the range 2θ from 10° to 80°, by angle:
- (1 1 1), 20.73°, d 4.286, rel. 47
- (0 2 2), 26.12°, d 3.411, rel. 53
- (1 1 3), 33.57°, d 2.669, rel. 86
- (0 0 4), 37.23°, d 2.415, rel. 34
- (0 4 0), 37.34°, d 2.408, rel. 39
- (2 2 0), 37.61°, d 2.392, rel. 100
- (1 3 3), 43.03°, d 2.102, rel. 43
- (0 4 4), 53.75°, d 1.705, rel. 19
- (2 2 4), 53.99°, d 1.698, rel. 49
- (3 1 3), 58.68°, d 1.573, rel. 17
- (2 6 0), 67.53°, d 1.387, rel. 14
- (2 4 6), 79.63°, d 1.204, rel. 16

Structure:
```
data_TmNb2Al3Ga
_cell_length_a 5.508
_cell_length_b 9.634
_cell_length_c 9.661
_cell_angle_alpha 90.00
_cell_angle_beta 90.00
_cell_angle_gamma 90.00
_symmetry_space_group_name_H-M 'F m m 2'
_symmetry_Int_Tables_number 42
_symmetry_space_group_name_Hall 'F 2 -2'
loop_
_atom_site_label
_atom_site_fract_x
_atom_site_fract_y
_atom_site_fract_z
_atom_site_occupancy
Tm1 0.000 0.000 0.000 1
Nb1 0.250 0.250 0.251 1
Al1 0.000 0.000 0.306 1
Al2 0.000 0.195 0.501 1
Ga1 0.000 0.000 0.697 1
```

Entry 4:
Simulated PXRD pattern of Tb2SmIn3Co3 for Cu Ka, from a structure optimized by DFT (GGA-PBE).
No peak broadening, texture or thermal motion is included.

Principal peaks in the range 2θ from 10° to 80°, by angle:
- (1 3 1), 33.46°, d 2.678, rel. 100
- (1 2 2), 36.36°, d 2.471, rel. 71
- (0 5 1), 37.10°, d 2.423, rel. 53
- (0 6 0), 42.29°, d 2.137, rel. 21
- (1 5 1), 44.07°, d 2.055, rel. 11
- (2 0 0), 46.84°, d 1.940, rel. 21
- (0 5 3), 51.39°, d 1.778, rel. 13
- (1 2 4), 56.97°, d 1.616, rel. 23
- (2 5 1), 61.21°, d 1.514, rel. 24
- (2 6 0), 64.93°, d 1.436, rel. 11
- (1 7 3), 68.19°, d 1.375, rel. 23
- (2 5 3), 72.06°, d 1.311, rel. 10

Structure:
```
data_Tb2SmIn3Co3
_cell_length_a 3.879
_cell_length_b 12.813
_cell_length_c 7.407
_cell_angle_alpha 90.00
_cell_angle_beta 90.00
_cell_angle_gamma 90.00
_symmetry_space_group_name_H-M 'A m m 2'
_symmetry_Int_Tables_number 38
loop_
_symmetry_equiv_pos_as_xyz
'x,y,z'
'-x,-y,z'
'-x,y,z'
'x,-y,z'
'x,y+1/2,z+1/2'
'-x,-y+1/2,z+1/2'
'-x,y+1/2,z+1/2'
'x,-y+1/2,z+1/2'
loop_
_atom_site_label
_atom_site_fract_x
_atom_site_fract_y
_atom_site_fract_z
_atom_site_occupancy
Tb1 0.000 0.205 0.000 1
Sm1 0.000 0.000 0.384 1
In1 0.500 0.000 0.045 1
In2 0.500 0.127 0.670 1
Co1 0.000 0.000 0.796 1
Co2 0.500 0.168 0.295 1
```

Question: Which formula does entry 1 have?
Answer: RbHfHg3S4